Calculated powder diffraction line list
Compound: Na2CrRhO4
Radiation: Cu Kα X-rays
Structure: a GGA+U-relaxed structure
Kinematic intensities with the Lorentz-polarization factor, no thermal factor.

Structure:
Unit cell a=5.324 b=3.101 c=5.621 alpha=90.00 beta=108.69 gamma=90.00
Space group P2/m (No. 10)
Asymmetric unit:
Na: 0.000 0.000 0.000
Na: 0.500 0.500 0.000
Cr: 0.000 0.500 0.500
Rh: 0.500 0.000 0.500
O: 0.225 0.000 0.701
O: 0.260 0.500 0.299

Top 10 peaks for 2θ from 10° to 80°, most intense first:
| d_spacing | I (rel.) | h k l |
| --- | --- | --- |
| 2.222 | 100 | 2 0 -2 |
| 5.324 | 83 | 0 0 1 |
| 2.543 | 29 | 1 1 -1 |
| 1.540 | 20 | 3 1 -1 |
| 1.603 | 19 | 1 1 -3 |
| 2.662 | 19 | 0 0 2 |
| 2.642 | 17 | 1 1 0 |
| 2.522 | 14 | 2 0 0 |
| 1.736 | 14 | 1 1 2 |
| 1.271 | 11 | 2 2 -2 |